Diffraction record for Al4Fe2Si5O18. The XRD peak list is calculated, not measured: it uses a PBE+U-relaxed structure and copper Kα.
Kinematic intensities with the Lorentz-polarization factor, no thermal factor.

Top 10 peaks for 10° ≤ 2θ ≤ 90°, in order of rising 2θ:
d [Å]  2θ (°)  I (rel.)
8.671  10.2  100.0
4.127  21.5  37.7
3.429  26.0  32.0
3.415  26.1  18.4
3.180  28.1  12.4
3.102  28.8  22.3
3.079  29.0  12.3
2.692  33.3  13.5
2.347  38.3  6.9
1.714  53.4  10.3

Atomic structure:
abc: 10.041 10.041 9.390
angles: 90.00 90.00 120.58
Atoms (fractional coordinates):
Al: 0.000 0.500 0.250
Al: 0.000 0.500 0.750
Al: 0.144 0.242 0.000
Al: 0.242 0.144 0.500
Al: 0.500 0.000 0.250
Al: 0.500 0.000 0.750
Al: 0.758 0.856 0.500
Al: 0.856 0.758 0.000
Fe: 0.163 0.837 0.250
Fe: 0.163 0.837 0.750
Fe: 0.837 0.163 0.250
Fe: 0.837 0.163 0.750
Si: 0.000 0.000 0.250
Si: 0.000 0.000 0.750
Si: 0.133 0.402 0.500
Si: 0.231 0.610 0.000
Si: 0.390 0.769 0.500
Si: 0.402 0.133 0.000
Si: 0.598 0.867 0.000
Si: 0.610 0.231 0.500
Si: 0.769 0.390 0.000
Si: 0.867 0.598 0.500
O: 0.023 0.369 0.358
O: 0.023 0.369 0.642
O: 0.024 0.146 0.151
O: 0.024 0.146 0.849
O: 0.146 0.024 0.349
O: 0.146 0.024 0.651
O: 0.151 0.640 0.142
O: 0.151 0.640 0.858
O: 0.193 0.434 0.000
O: 0.208 0.296 0.500
O: 0.263 0.586 0.500
O: 0.296 0.208 0.000
O: 0.360 0.849 0.358
O: 0.360 0.849 0.642
O: 0.369 0.023 0.142
O: 0.369 0.023 0.858
O: 0.414 0.737 0.000
O: 0.434 0.193 0.500
O: 0.566 0.807 0.500
O: 0.586 0.263 0.000
O: 0.631 0.977 0.142
O: 0.631 0.977 0.858
O: 0.640 0.151 0.358
O: 0.640 0.151 0.642
O: 0.704 0.792 0.000
O: 0.737 0.414 0.500
O: 0.792 0.704 0.500
O: 0.807 0.566 0.000
O: 0.849 0.360 0.142
O: 0.849 0.360 0.858
O: 0.854 0.976 0.349
O: 0.854 0.976 0.651
O: 0.976 0.854 0.151
O: 0.976 0.854 0.849
O: 0.977 0.631 0.358
O: 0.977 0.631 0.642